Record 1
Structure and computed PXRD pattern of MnHO2 (a DFT-relaxed cell (GGA+U, Alexandria); Cu Kα (weighted mean of Kα1 and Kα2)).
Peak positions follow from Bragg's law for the DFT cell and can differ from measured ones.

Main lines, low angle first (10° ≤ 2θ ≤ 90°):
2θ = 25.88°, rel. 100, (0 1 1)
2θ = 33.43°, rel. 30, (0 0 2)
2θ = 34.71°, rel. 15, (1 0 1)
2θ = 36.44°, rel. 46, (1 1 0)
2θ = 39.14°, rel. 12, (0 1 2)
2θ = 40.26°, rel. 12, (1 1 1)
2θ = 50.28°, rel. 32, (1 1 2)
2θ = 53.20°, rel. 12, (0 2 2)
2θ = 54.10°, rel. 44, (1 2 1)
2θ = 60.59°, rel. 15, (1 0 3)

Crystal structure
```
MnHO2
1.0
2.9496 0.0000 0.0000
0.0000 4.4925 0.0000
0.0000 0.0000 5.3605
Mn H O
2 2 4
Direct
0.0000 0.2282 0.0000 Mn
0.5000 0.7718 0.5000 Mn
0.0000 0.3084 0.5133 H
0.5000 0.6916 0.0133 H
0.0000 0.0118 0.3721 O
0.0000 0.5030 0.6185 O
0.5000 0.4970 0.1185 O
0.5000 0.9882 0.8721 O
```

---

Record 2
Structure and computed PXRD pattern of Mn2HO4 (a DFT-relaxed cell (GGA+U, Alexandria); Cu Kα (weighted mean of Kα1 and Kα2)).
Peak positions follow from Bragg's law for the DFT cell and can differ from measured ones.

Main lines, low angle first (10° ≤ 2θ ≤ 90°):
2θ = 17.54°, rel. 100, (0 1 1)
2θ = 18.72°, rel. 63, (1 0 1)
2θ = 33.97°, rel. 26, (1 2 1)
2θ = 35.20°, rel. 11, (0 1 3)
2θ = 35.51°, rel. 9, (0 2 2)
2θ = 35.87°, rel. 20, (1 0 3)
2θ = 42.36°, rel. 48, (2 2 0)
2θ = 43.35°, rel. 26, (0 0 4)
2θ = 54.93°, rel. 9, (2 3 1)
2θ = 62.22°, rel. 24, (2 2 4)

Crystal structure
```
Mn2HO4
1.0
5.7586 0.0000 0.0000
0.0000 6.3543 0.0000
0.0000 0.0000 8.3499
Mn H O
8 4 16
Direct
0.0000 0.0000 0.0000 Mn
0.0000 0.5000 0.0000 Mn
0.2106 0.2500 0.2535 Mn
0.2894 0.7500 0.7535 Mn
0.5000 0.0000 0.5000 Mn
0.5000 0.5000 0.5000 Mn
0.7106 0.2500 0.2465 Mn
0.7894 0.7500 0.7465 Mn
0.0667 0.2500 0.5390 H
0.4333 0.7500 0.0390 H
0.5667 0.2500 0.9610 H
0.9333 0.7500 0.4610 H
0.0369 0.5470 0.7668 O
0.0369 0.9530 0.7668 O
0.2023 0.2500 0.0207 O
0.2202 0.2500 0.4872 O
0.2798 0.7500 0.9872 O
0.2977 0.7500 0.5207 O
0.4631 0.0470 0.2668 O
0.4631 0.4530 0.2668 O
0.5369 0.5470 0.7332 O
0.5369 0.9530 0.7332 O
0.7023 0.2500 0.4793 O
0.7202 0.2500 0.0128 O
0.7798 0.7500 0.5128 O
0.7977 0.7500 0.9793 O
0.9631 0.0470 0.2332 O
0.9631 0.4530 0.2332 O
```

---

Record 3
Structure and computed PXRD pattern of Mn7P6H4O24 (a DFT-relaxed cell (GGA+U, Alexandria); Cu Kα (weighted mean of Kα1 and Kα2)).
Peak positions follow from Bragg's law for the DFT cell and can differ from measured ones.

Main lines, low angle first (10° ≤ 2θ ≤ 90°):
2θ = 17.73°, rel. 23, (-1 1 1)
2θ = 19.81°, rel. 27, (1 -1 1)
2θ = 27.21°, rel. 35, (1 -1 2)
2θ = 27.47°, rel. 39, (2 0 -1)
2θ = 28.56°, rel. 86, (0 1 -3)
2θ = 28.81°, rel. 100, (0 2 1)
2θ = 30.14°, rel. 21, (-2 1 2)
2θ = 32.00°, rel. 29, (2 1 -2)
2θ = 34.62°, rel. 22, (0 3 -2)
2θ = 55.85°, rel. 20, (3 -3 2)

Crystal structure
```
Mn7P6H4O24
1.0
6.6415 0.0000 0.0000
-1.6280 7.9958 0.0000
-3.2780 -3.2016 8.8344
Mn P H O
7 6 4 24
Direct
0.0000 0.0000 0.0000 Mn
0.0357 0.7159 0.5121 Mn
0.2841 0.8168 0.2862 Mn
0.3810 0.4560 0.1062 Mn
0.6190 0.5440 0.8938 Mn
0.7159 0.1832 0.7138 Mn
0.9643 0.2841 0.4879 Mn
0.0844 0.5813 0.8228 P
0.2273 0.1422 0.7807 P
0.4105 0.2310 0.3843 P
0.5895 0.7690 0.6157 P
0.7727 0.8578 0.2193 P
0.9156 0.4187 0.1772 P
0.1761 0.8737 0.8085 H
0.4182 0.4943 0.5966 H
0.5818 0.5057 0.4034 H
0.8239 0.1263 0.1915 H
0.0229 0.1674 0.6668 O
0.0523 0.5444 0.6553 O
0.1076 0.7812 0.8962 O
0.1245 0.5368 0.1689 O
0.2061 0.9357 0.7310 O
0.2195 0.1861 0.9402 O
0.2698 0.0637 0.2434 O
0.2866 0.3042 0.4790 O
0.2977 0.5391 0.9083 O
0.3808 0.8010 0.5116 O
0.4489 0.2409 0.7787 O
0.4924 0.3827 0.3198 O
0.5076 0.6173 0.6802 O
0.5511 0.7591 0.2213 O
0.6192 0.1990 0.4884 O
0.7023 0.4609 0.0917 O
0.7134 0.6958 0.5210 O
0.7302 0.9363 0.7566 O
0.7805 0.8139 0.0598 O
0.7939 0.0643 0.2690 O
0.8755 0.4632 0.8311 O
0.8924 0.2188 0.1038 O
0.9477 0.4556 0.3447 O
0.9771 0.8326 0.3332 O
```

---

Record 4
Structure and computed PXRD pattern of RbMnP3HO10 (a DFT-relaxed cell (GGA+U, Alexandria); Cu Kα (weighted mean of Kα1 and Kα2)).
Peak positions follow from Bragg's law for the DFT cell and can differ from measured ones.

Main lines, low angle first (10° ≤ 2θ ≤ 90°):
2θ = 14.86°, rel. 46, (0 1 1)
2θ = 17.74°, rel. 38, (1 0 -1)
2θ = 20.57°, rel. 96, (0 0 2)
2θ = 21.50°, rel. 72, (1 1 2)
2θ = 23.98°, rel. 87, (1 2 1)
2θ = 25.27°, rel. 61, (0 2 0)
2θ = 25.44°, rel. 61, (2 0 0)
2θ = 28.93°, rel. 81, (1 -1 2)
2θ = 29.36°, rel. 75, (-1 1 2)
2θ = 30.00°, rel. 100, (2 2 0)

Crystal structure
```
RbMnP3HO10
1.0
7.5977 0.0000 0.0000
2.6309 7.1478 0.0000
2.2954 1.4551 8.6367
Rb Mn P H O
2 2 6 2 20
Direct
0.0000 0.0000 0.0000 Rb
0.4786 0.4783 0.4693 Rb
0.0854 0.3974 0.2293 Mn
0.5781 0.9061 0.7297 Mn
0.2950 0.0478 0.4649 P
0.4403 0.5670 0.0099 P
0.4405 0.1848 0.9948 P
0.8287 0.5878 0.9588 P
0.9011 0.6537 0.5005 P
0.9146 0.0421 0.4464 P
0.4935 0.9724 0.2439 H
0.9921 0.4804 0.7413 H
0.0579 0.5614 0.5954 O
0.0994 0.9909 0.5253 O
0.2287 0.2354 0.0758 O
0.2496 0.2536 0.3821 O
0.2949 0.5588 0.1568 O
0.3665 0.0240 0.6117 O
0.4003 0.7409 0.8882 O
0.4256 0.9074 0.3531 O
0.4558 0.1147 0.8461 O
0.4905 0.3851 0.9278 O
0.5770 0.0613 0.1020 O
0.6393 0.5376 0.0630 O
0.6974 0.7118 0.5982 O
0.7413 0.0837 0.5723 O
0.7744 0.7859 0.8615 O
0.8965 0.5396 0.3843 O
0.9233 0.1878 0.3023 O
0.9268 0.4282 0.8588 O
0.9435 0.5858 0.0746 O
0.9428 0.8458 0.3914 O
```